The following is a computed X-ray diffraction stick pattern of In3Bi3Pb5. It was derived from DFT lattice parameters and positions (GGA-PBE), using Cu Kα.

Principal peaks in the range 10° ≤ 2θ ≤ 90°, in order of falling intensity:
26.87 deg, d 3.318, rel. 100; 33.91 deg, d 2.644, rel. 76; 30.66 deg, d 2.916, rel. 59; 37.03 deg, d 2.428, rel. 57; 41.22 deg, d 2.190, rel. 43; 41.01 deg, d 2.201, rel. 28; 52.06 deg, d 1.757, rel. 28; 20.17 deg, d 4.402, rel. 24; 52.27 deg, d 1.750, rel. 24; 56.45 deg, d 1.630, rel. 23

Cell and atoms:
a b c (Å): 10.100 10.100 4.402
angles (deg): 90.00 90.00 120.00
Atoms (fractional coordinates):
1 In 0.000 0.815 0.000
2 In 0.185 0.185 0.000
3 In 0.815 0.000 0.000
4 Bi 0.000 0.593 0.500
5 Bi 0.407 0.407 0.500
6 Bi 0.593 0.000 0.500
7 Pb 0.000 0.365 0.000
8 Pb 0.333 0.667 0.000
9 Pb 0.365 0.000 0.000
10 Pb 0.635 0.635 0.000
11 Pb 0.667 0.333 0.000

---

The following is a computed X-ray diffraction stick pattern of Sr2Sn8Pt. It was derived from DFT lattice parameters and positions (GGA-PBE), using Cu Kα.

Principal peaks in the range 10° ≤ 2θ ≤ 90°, in order of falling intensity:
33.51 deg, d 2.674, rel. 100; 37.15 deg, d 2.420, rel. 51; 64.67 deg, d 1.441, rel. 31; 53.56 deg, d 1.711, rel. 18; 51.89 deg, d 1.762, rel. 15; 29.57 deg, d 3.021, rel. 15; 19.60 deg, d 4.529, rel. 14; 34.90 deg, d 2.571, rel. 12; 64.01 deg, d 1.455, rel. 11; 44.09 deg, d 2.054, rel. 10

Cell and atoms:
a b c (Å): 4.840 4.840 12.855
angles (deg): 90.00 90.00 90.00
Atoms (fractional coordinates):
1 Sr 0.000 0.000 0.191
2 Sr 0.000 0.000 0.809
3 Sn 0.000 0.500 0.000
4 Sn 0.000 0.500 0.379
5 Sn 0.000 0.500 0.621
6 Sn 0.500 0.000 0.000
7 Sn 0.500 0.000 0.379
8 Sn 0.500 0.000 0.621
9 Sn 0.500 0.500 0.187
10 Sn 0.500 0.500 0.813
11 Pt 0.000 0.000 0.500

---

The following is a computed X-ray diffraction stick pattern of SrGa2Te4. It was derived from DFT lattice parameters and positions (GGA-PBE), using Cu Kα.

Principal peaks in the range 10° ≤ 2θ ≤ 90°, in order of falling intensity:
27.23 deg, d 3.275, rel. 100; 34.12 deg, d 2.628, rel. 57; 46.71 deg, d 1.945, rel. 31; 30.19 deg, d 2.960, rel. 23; 47.11 deg, d 1.929, rel. 22; 14.96 deg, d 5.920, rel. 20; 43.43 deg, d 2.083, rel. 16; 61.50 deg, d 1.508, rel. 13; 45.99 deg, d 1.973, rel. 13; 73.85 deg, d 1.283, rel. 11

Cell and atoms:
a b c (Å): 6.815 6.815 6.815
angles (deg): 104.20 104.20 120.61
Atoms (fractional coordinates):
1 Sr 0.000 0.000 0.000
2 Ga 0.000 0.500 0.500
3 Ga 0.500 0.000 0.500
4 Te 0.075 0.575 0.150
5 Te 0.425 0.925 0.850
6 Te 0.575 0.425 0.500
7 Te 0.925 0.075 0.500

---

The following is a computed X-ray diffraction stick pattern of Ca2PmY. It was derived from DFT lattice parameters and positions (GGA-PBE), using Cu Kα.

Principal peaks in the range 10° ≤ 2θ ≤ 90°, in order of falling intensity:
30.30 deg, d 2.949, rel. 100; 53.84 deg, d 1.703, rel. 38; 21.30 deg, d 4.171, rel. 26; 87.51 deg, d 1.115, rel. 18; 43.39 deg, d 2.086, rel. 18; 71.53 deg, d 1.319, rel. 16; 48.82 deg, d 1.865, rel. 12; 63.04 deg, d 1.475, rel. 12; 37.34 deg, d 2.408, rel. 9; 18.42 deg, d 4.816, rel. 6

Cell and atoms:
a b c (Å): 5.899 5.899 5.899
angles (deg): 60.00 60.00 60.00
Atoms (fractional coordinates):
1 Ca 0.250 0.250 0.250
2 Ca 0.750 0.750 0.750
3 Pm 0.000 0.000 0.000
4 Y 0.500 0.500 0.500

---

The following is a computed X-ray diffraction stick pattern of LiMgGaBi. It was derived from DFT lattice parameters and positions (GGA-PBE), using Cu Kα.

Principal peaks in the range 10° ≤ 2θ ≤ 90°, in order of falling intensity:
35.58 deg, d 2.523, rel. 100; 24.96 deg, d 3.568, rel. 78; 21.57 deg, d 4.120, rel. 42; 63.91 deg, d 1.457, rel. 37; 57.78 deg, d 1.596, rel. 32; 41.99 deg, d 2.152, rel. 24; 43.96 deg, d 2.060, rel. 24; 51.21 deg, d 1.784, rel. 18; 86.20 deg, d 1.128, rel. 17; 80.81 deg, d 1.189, rel. 16

Cell and atoms:
a b c (Å): 5.046 5.046 5.046
angles (deg): 60.00 60.00 60.00
Atoms (fractional coordinates):
1 Li 0.000 0.000 0.000
2 Mg 0.500 0.500 0.500
3 Ga 0.250 0.250 0.250
4 Bi 0.750 0.750 0.750

---

The following is a computed X-ray diffraction stick pattern of LaTb6Dy. It was derived from DFT lattice parameters and positions (GGA-PBE), using Cu Kα.

Principal peaks in the range 10° ≤ 2θ ≤ 90°, in order of falling intensity:
30.54 deg, d 2.927, rel. 100; 35.41 deg, d 2.535, rel. 51; 60.58 deg, d 1.528, rel. 43; 50.95 deg, d 1.792, rel. 36; 83.04 deg, d 1.163, rel. 18; 85.70 deg, d 1.134, rel. 16; 63.58 deg, d 1.463, rel. 12; 74.93 deg, d 1.267, rel. 6

Cell and atoms:
a b c (Å): 5.069 5.069 10.139
angles (deg): 90.00 90.00 90.00
Atoms (fractional coordinates):
1 La 0.000 0.000 0.000
2 Tb 0.000 0.500 0.254
3 Tb 0.000 0.500 0.746
4 Tb 0.500 0.000 0.254
5 Tb 0.500 0.000 0.746
6 Tb 0.500 0.500 0.000
7 Tb 0.500 0.500 0.500
8 Dy 0.000 0.000 0.500

---

The following is a computed X-ray diffraction stick pattern of CsSeF4. It was derived from DFT lattice parameters and positions (GGA-PBE), using Cu Kα.

Principal peaks in the range 10° ≤ 2θ ≤ 90°, in order of falling intensity:
19.10 deg, d 4.647, rel. 100; 30.33 deg, d 2.947, rel. 42; 34.84 deg, d 2.575, rel. 36; 23.34 deg, d 3.811, rel. 25; 33.24 deg, d 2.695, rel. 24; 45.61 deg, d 1.989, rel. 21; 48.92 deg, d 1.862, rel. 17; 63.00 deg, d 1.475, rel. 11; 60.43 deg, d 1.532, rel. 11; 51.85 deg, d 1.763, rel. 10

Cell and atoms:
a b c (Å): 6.136 6.136 6.136
angles (deg): 103.20 103.20 122.92
Atoms (fractional coordinates):
1 Cs 0.000 0.000 0.000
2 Se 0.750 0.250 0.500
3 F 0.571 0.071 0.143
4 F 0.571 0.429 0.500
5 F 0.929 0.071 0.500
6 F 0.929 0.429 0.857

---

The following is a computed X-ray diffraction stick pattern of Li6Mg8Au. It was derived from DFT lattice parameters and positions (GGA-PBE), using Cu Kα.

Principal peaks in the range 10° ≤ 2θ ≤ 90°, in order of falling intensity:
12.13 deg, d 7.299, rel. 100; 20.44 deg, d 4.346, rel. 52; 36.56 deg, d 2.458, rel. 41; 26.82 deg, d 3.324, rel. 32; 29.53 deg, d 3.025, rel. 27; 21.08 deg, d 4.214, rel. 23; 47.05 deg, d 1.931, rel. 23; 41.56 deg, d 2.173, rel. 15; 36.94 deg, d 2.433, rel. 13; 47.98 deg, d 1.896, rel. 12

Cell and atoms:
a b c (Å): 8.429 8.429 5.408
angles (deg): 90.00 90.00 120.00
Atoms (fractional coordinates):
1 Li 0.092 0.631 0.280
2 Li 0.369 0.461 0.280
3 Li 0.461 0.092 0.720
4 Li 0.539 0.908 0.280
5 Li 0.631 0.539 0.720
6 Li 0.908 0.369 0.720
7 Mg 0.039 0.772 0.788
8 Mg 0.228 0.267 0.788
9 Mg 0.267 0.039 0.212
10 Mg 0.333 0.667 0.792
11 Mg 0.667 0.333 0.208
12 Mg 0.733 0.961 0.788
13 Mg 0.772 0.733 0.212
14 Mg 0.961 0.228 0.212
15 Au 0.000 0.000 0.500

---

The following is a computed X-ray diffraction stick pattern of Li2PrZn9. It was derived from DFT lattice parameters and positions (GGA-PBE), using Cu Kα.

Principal peaks in the range 10° ≤ 2θ ≤ 90°, in order of falling intensity:
40.19 deg, d 2.244, rel. 100; 10.53 deg, d 8.403, rel. 50; 23.96 deg, d 3.714, rel. 38; 43.06 deg, d 2.101, rel. 32; 39.37 deg, d 2.289, rel. 29; 35.47 deg, d 2.531, rel. 25; 43.26 deg, d 2.091, rel. 24; 64.76 deg, d 1.439, rel. 23; 39.87 deg, d 2.261, rel. 23; 86.81 deg, d 1.122, rel. 23

Cell and atoms:
a b c (Å): 8.944 8.944 8.944
angles (deg): 34.52 34.52 34.52
Atoms (fractional coordinates):
1 Li 0.143 0.143 0.143
2 Li 0.857 0.857 0.857
3 Pr 0.000 0.000 0.000
4 Zn 0.080 0.590 0.590
5 Zn 0.335 0.335 0.335
6 Zn 0.410 0.410 0.920
7 Zn 0.410 0.920 0.410
8 Zn 0.500 0.500 0.500
9 Zn 0.590 0.080 0.590
10 Zn 0.590 0.590 0.080
11 Zn 0.665 0.665 0.665
12 Zn 0.920 0.410 0.410

---

The following is a computed X-ray diffraction stick pattern of Tb3TmGa3. It was derived from DFT lattice parameters and positions (GGA-PBE), using Cu Kα.

Principal peaks in the range 10° ≤ 2θ ≤ 90°, in order of falling intensity:
35.43 deg, d 2.533, rel. 100; 30.01 deg, d 2.978, rel. 26; 37.30 deg, d 2.411, rel. 26; 29.28 deg, d 3.051, rel. 19; 66.06 deg, d 1.414, rel. 18; 26.95 deg, d 3.309, rel. 17; 34.14 deg, d 2.626, rel. 14; 54.20 deg, d 1.692, rel. 14; 48.59 deg, d 1.874, rel. 14; 66.84 deg, d 1.400, rel. 11

Cell and atoms:
a b c (Å): 9.097 9.097 4.822
angles (deg): 90.00 90.00 120.00
Atoms (fractional coordinates):
1 Tb 0.013 0.254 0.250
2 Tb 0.241 0.987 0.250
3 Tb 0.254 0.241 0.750
4 Tb 0.746 0.759 0.250
5 Tb 0.759 0.013 0.750
6 Tb 0.987 0.746 0.750
7 Tm 0.333 0.667 0.750
8 Tm 0.667 0.333 0.250
9 Ga 0.058 0.608 0.250
10 Ga 0.392 0.450 0.250
11 Ga 0.450 0.058 0.750
12 Ga 0.550 0.942 0.250
13 Ga 0.608 0.550 0.750
14 Ga 0.942 0.392 0.750

---

The following is a computed X-ray diffraction stick pattern of Ba2IBrO. It was derived from DFT lattice parameters and positions (GGA-PBE), using Cu Kα.

Principal peaks in the range 10° ≤ 2θ ≤ 90°, in order of falling intensity:
25.61 deg, d 3.479, rel. 100; 33.04 deg, d 2.712, rel. 37; 19.65 deg, d 4.518, rel. 24; 37.00 deg, d 2.429, rel. 24; 32.30 deg, d 2.772, rel. 22; 40.03 deg, d 2.252, rel. 19; 32.71 deg, d 2.738, rel. 17; 49.03 deg, d 1.858, rel. 16; 31.41 deg, d 2.848, rel. 15; 24.54 deg, d 3.628, rel. 15

Cell and atoms:
a b c (Å): 9.464 9.464 11.811
angles (deg): 128.00 128.00 27.54
Atoms (fractional coordinates):
1 Ba 0.086 0.086 0.320
2 Ba 0.372 0.372 0.946
3 Ba 0.628 0.628 0.054
4 Ba 0.914 0.914 0.680
5 I 0.294 0.294 0.363
6 I 0.706 0.706 0.637
7 Br 0.137 0.137 0.863
8 Br 0.863 0.863 0.137
9 O 0.450 0.450 0.825
10 O 0.550 0.550 0.175

---

Copy entry 9 word for word.
The following is a computed X-ray diffraction stick pattern of Li2PrZn9. It was derived from DFT lattice parameters and positions (GGA-PBE), using Cu Kα.

Principal peaks in the range 10° ≤ 2θ ≤ 90°, in order of falling intensity:
40.19 deg, d 2.244, rel. 100; 10.53 deg, d 8.403, rel. 50; 23.96 deg, d 3.714, rel. 38; 43.06 deg, d 2.101, rel. 32; 39.37 deg, d 2.289, rel. 29; 35.47 deg, d 2.531, rel. 25; 43.26 deg, d 2.091, rel. 24; 64.76 deg, d 1.439, rel. 23; 39.87 deg, d 2.261, rel. 23; 86.81 deg, d 1.122, rel. 23

Cell and atoms:
a b c (Å): 8.944 8.944 8.944
angles (deg): 34.52 34.52 34.52
Atoms (fractional coordinates):
1 Li 0.143 0.143 0.143
2 Li 0.857 0.857 0.857
3 Pr 0.000 0.000 0.000
4 Zn 0.080 0.590 0.590
5 Zn 0.335 0.335 0.335
6 Zn 0.410 0.410 0.920
7 Zn 0.410 0.920 0.410
8 Zn 0.500 0.500 0.500
9 Zn 0.590 0.080 0.590
10 Zn 0.590 0.590 0.080
11 Zn 0.665 0.665 0.665
12 Zn 0.920 0.410 0.410